This entry pairs a crystal structure of Cs4SeF2 with its calculated PXRD pattern. Radiation: Cu Kα. Structure: a crystal structure in Alexandria, relaxed with GGA-PBE.
No peak broadening, texture or thermal motion is included.

Structural model:
```
Cs4SeF2
1.0
-5.2256 5.2256 4.9987
5.2256 -5.2256 4.9987
5.2256 5.2256 -4.9987
Cs Se F
8 2 4
Direct
0.2115 0.2809 0.5694
0.2115 0.6421 0.9306
0.2809 0.2115 0.0694
0.3579 0.7885 0.5694
0.6421 0.2115 0.4306
0.7191 0.7885 0.9306
0.7885 0.3579 0.0694
0.7885 0.7191 0.4306
0.1250 0.8750 0.2500
0.8750 0.1250 0.7500
0.0000 0.5000 0.5000
0.5000 0.0000 0.0000
0.5000 0.5000 0.0000
0.5000 0.5000 0.5000
```

Largest 10 diffraction maxima, in order of falling intensity, 2θ = 10–90°:
two_theta  I/Imax
24.6  100
27.1  81
28.1  70
32.2  70
24.1  41
17.0  32
41.3  30
45.5  29
44.3  28
51.6  24